# Ir3Ru
Computed XRD peak list, λ = 1.5418 Å (Cu Kα). Input: a GGA-PBE-relaxed structure.
Kinematic intensities with the Lorentz-polarization factor, no thermal factor.

Peak list (6 most intense, 2θ from 10° to 80°, by intensity)
40.50°, I 100, hkl 1 1 4
47.12°, I 49, hkl 2 0 0
68.84°, I 32, hkl 2 2 0
23.77°, I 3, hkl 1 0 1
23.06°, I 2, hkl 0 0 4
28.93°, I 2, hkl 1 0 3

Structure:
Cell: 3.858 3.858 15.428 Å, 90.00 90.00 90.00°
Space group I4/mmm (No. 139)
Inequivalent atoms, fractional coordinates:
Ir  0.000  0.000  0.124 x4
Ir  0.000  0.500  0.000 x4
Ir  0.000  0.500  0.250 x4
Ru  0.000  0.000  0.374 x4

***

# IrRu3S
Computed XRD peak list, λ = 1.5418 Å (Cu Kα). Input: a GGA-PBE-relaxed structure.
Kinematic intensities with the Lorentz-polarization factor, no thermal factor.

Peak list (6 most intense, 2θ from 10° to 80°, by intensity)
36.38°, I 100, hkl 1 1 1
42.25°, I 64, hkl 2 0 0
61.29°, I 42, hkl 2 2 0
73.41°, I 38, hkl 3 1 1
29.53°, I 17, hkl 1 1 0
77.26°, I 14, hkl 2 2 2

Structure:
Cell: 4.278 4.278 4.278 Å, 90.00 90.00 90.00°
Space group Pm-3m (No. 221)
Inequivalent atoms, fractional coordinates:
Ir  0.000  0.000  0.000 x1
Ru  0.000  0.500  0.500 x3
S  0.500  0.500  0.500 x1

***

# Th6Ir2Ru3S
Computed XRD peak list, λ = 1.5418 Å (Cu Kα). Input: a GGA-PBE-relaxed structure.
Kinematic intensities with the Lorentz-polarization factor, no thermal factor.

Peak list (6 most intense, 2θ from 10° to 80°, by intensity)
30.70°, I 100, hkl 1 1 -2
44.29°, I 56, hkl 0 2 0
30.81°, I 49, hkl 6 0 0
43.84°, I 37, hkl 7 1 -2
54.98°, I 20, hkl 6 2 0
43.58°, I 19, hkl 2 0 -4

Structure:
Cell: 17.954 4.085 8.307 Å, 90.00 104.10 90.00°
Space group C2/m (No. 12)
Inequivalent atoms, fractional coordinates:
Th  0.002  0.000  0.237 x4
Th  0.166  0.500  0.082 x4
Th  0.171  0.500  0.580 x4
Ir  0.165  0.000  0.827 x4
Ru  0.000  0.500  0.000 x2
Ru  0.159  0.000  0.332 x4
S  0.000  0.500  0.500 x2

***

# SbIrRu
Computed XRD peak list, λ = 1.5418 Å (Cu Kα). Input: a GGA-PBE-relaxed structure.
Kinematic intensities with the Lorentz-polarization factor, no thermal factor.

Peak list (6 most intense, 2θ from 10° to 80°, by intensity)
41.81°, I 100, hkl 2 2 0
76.34°, I 34, hkl 4 2 2
29.23°, I 33, hkl 2 0 0
25.24°, I 23, hkl 1 1 1
60.61°, I 17, hkl 4 0 0
68.69°, I 12, hkl 4 2 0

Structure:
Cell: 6.111 6.111 6.111 Å, 90.00 90.00 90.00°
Space group F-43m (No. 216)
Inequivalent atoms, fractional coordinates:
Sb  0.000  0.000  0.000 x4
Ir  0.000  0.000  0.500 x4
Ru  0.250  0.250  0.750 x4

***

# Sb6IrRu
Computed XRD peak list, λ = 1.5418 Å (Cu Kα). Input: a GGA-PBE-relaxed structure.
Kinematic intensities with the Lorentz-polarization factor, no thermal factor.

Peak list (6 most intense, 2θ from 10° to 80°, by intensity)
30.12°, I 100, hkl 2 0 -3
43.10°, I 39, hkl 2 0 2
18.92°, I 29, hkl 0 2 0
35.79°, I 24, hkl 4 2 -1
47.41°, I 20, hkl 2 2 2
47.53°, I 19, hkl 6 2 -4

Structure:
Cell: 13.245 9.380 9.382 Å, 90.00 134.86 90.00°
Space group C2/m (No. 12)
Inequivalent atoms, fractional coordinates:
Sb  0.002  0.156  0.162 x8
Sb  0.155  0.340  0.654 x8
Sb  0.158  0.500  0.004 x4
Sb  0.162  0.500  0.318 x4
Ir  0.250  0.250  0.000 x4
Ru  0.250  0.250  0.500 x4

***

# ScIrRu
Computed XRD peak list, λ = 1.5418 Å (Cu Kα). Input: a GGA-PBE-relaxed structure.
Kinematic intensities with the Lorentz-polarization factor, no thermal factor.

Peak list (6 most intense, 2θ from 10° to 80°, by intensity)
40.46°, I 100, hkl 1 2 1
39.75°, I 82, hkl 1 0 3
40.15°, I 55, hkl 0 2 2
22.99°, I 44, hkl 1 0 1
40.70°, I 42, hkl 2 0 0
58.50°, I 36, hkl 2 2 2

Structure:
Cell: 4.434 5.456 7.915 Å, 90.00 90.00 90.00°
Space group Imma (No. 74)
Inequivalent atoms, fractional coordinates:
Sc  0.000  0.250  0.137 x4
Ir  0.000  0.000  0.500 x4
Ru  0.000  0.250  0.814 x4

***

# Sc6IrRu5
Computed XRD peak list, λ = 1.5418 Å (Cu Kα). Input: a GGA-PBE-relaxed structure.
Kinematic intensities with the Lorentz-polarization factor, no thermal factor.

Peak list (6 most intense, 2θ from 10° to 80°, by intensity)
39.65°, I 100, hkl 2 2 1
27.74°, I 21, hkl 2 0 1
39.80°, I 20, hkl 6 0 0
71.88°, I 13, hkl 0 2 3
71.97°, I 13, hkl 6 4 0
72.15°, I 13, hkl 8 2 1

Structure:
Cell: 14.323 6.439 4.548 Å, 90.00 108.42 90.00°
Space group C2/m (No. 12)
Inequivalent atoms, fractional coordinates:
Sc  0.000  0.248  0.000 x4
Sc  0.168  0.249  0.668 x8
Ir  0.000  0.500  0.500 x2
Ru  0.000  0.000  0.500 x2
Ru  0.166  0.500  0.166 x4
Ru  0.167  0.000  0.167 x4

***

# IrRuSe2
Computed XRD peak list, λ = 1.5418 Å (Cu Kα). Input: a GGA-PBE-relaxed structure.
Kinematic intensities with the Lorentz-polarization factor, no thermal factor.

Peak list (6 most intense, 2θ from 10° to 80°, by intensity)
11.00°, I 100, hkl 0 0 1
33.19°, I 42, hkl 0 1 2
41.84°, I 29, hkl 0 1 3
43.40°, I 17, hkl 1 1 1
35.29°, I 15, hkl 1 0 1
34.31°, I 14, hkl 1 0 -1

Structure:
Cell: 2.724 3.640 8.053 Å, 90.00 92.57 90.00°
Space group Pm (No. 6)
Inequivalent atoms, fractional coordinates:
Ir  0.000  0.000  0.000 x1
Ru  0.477  0.500  0.826 x1
Se  0.028  0.500  0.207 x1
Se  0.450  0.000  0.617 x1